[1]
ZnCr2Se: computed powder diffraction line list (CuKα), based on DFT lattice parameters and positions (PBE).
Peak positions follow from Bragg's law for the DFT cell and can differ from measured ones.

Most intense lines, 2θ from 15° to 90°, sorted by position:
2θ/deg, Rel. int.
33.1, 13.1
38.4, 100.0
40.0, 12.1
44.6, 9.2
46.5, 41.9
63.4, 22.7
76.6, 11.6
80.8, 8.5

Structure:
```
ZnCr2Se
1.0
2.936 0.000 0.000
-1.468 2.542 0.000
0.000 0.000 24.389
Zn Cr Se
3 6 3
direct
0.000 0.000 0.000
0.333 0.667 0.667
0.667 0.333 0.333
0.000 0.000 0.248
0.000 0.000 0.517
0.333 0.667 0.184
0.333 0.667 0.915
0.667 0.333 0.582
0.667 0.333 0.851
0.000 0.000 0.776
0.333 0.667 0.442
0.667 0.333 0.109
```

=====

[2]
PuTl3Sb2Se6: computed powder diffraction line list (CuKα), based on DFT lattice parameters and positions (PBE).
Peak positions follow from Bragg's law for the DFT cell and can differ from measured ones.

Most intense lines, 2θ from 15° to 90°, sorted by position:
2θ/deg, Rel. int.
23.4, 10.3
25.4, 20.9
28.9, 100.0
40.0, 37.2
42.5, 36.5
52.2, 19.3
59.8, 11.5
69.5, 16.5

Structure:
```
PuTl3Sb2Se6
1.0
3.684 -6.373 0.000
3.684 6.373 0.000
-2.448 0.000 7.615
Pu Tl Sb Se
1 3 2 6
direct
0.000 0.000 0.000
0.166 0.834 0.500
0.500 0.500 0.500
0.834 0.166 0.500
0.334 0.666 0.000
0.666 0.334 0.000
0.069 0.404 0.208
0.266 0.266 0.793
0.404 0.069 0.208
0.596 0.931 0.792
0.734 0.734 0.207
0.931 0.596 0.792
```

=====

[3]
K4U3InO12: computed powder diffraction line list (CuKα), based on DFT lattice parameters and positions (PBE).
Peak positions follow from Bragg's law for the DFT cell and can differ from measured ones.

Most intense lines, 2θ from 15° to 90°, sorted by position:
2θ/deg, Rel. int.
20.7, 71.4
29.5, 100.0
42.1, 31.3
47.4, 34.2
52.2, 41.2
61.1, 19.7
69.3, 18.4
84.5, 22.5

Structure:
```
K4U3InO12
1.0
-4.289 4.289 4.289
4.289 -4.289 4.289
4.289 4.289 -4.289
K U In O
4 3 1 12
direct
0.000 0.000 0.500
0.000 0.500 0.000
0.500 0.000 0.000
0.500 0.500 0.500
0.000 0.500 0.500
0.500 0.000 0.500
0.500 0.500 0.000
0.000 0.000 0.000
0.000 0.262 0.262
0.000 0.738 0.738
0.250 0.500 0.750
0.250 0.750 0.500
0.262 0.000 0.262
0.262 0.262 0.000
0.500 0.250 0.750
0.500 0.750 0.250
0.738 0.000 0.738
0.738 0.738 0.000
0.750 0.250 0.500
0.750 0.500 0.250
```

=====

Number 2 is which compound?
PuTl3Sb2Se6

=====

What is the formula in the second record?
PuTl3Sb2Se6